Simulated X-ray diffraction stick pattern
Compound: La2Dy3Ho9
Radiation: Cu Kα, 1.54184 Å
Structure: a DFT-relaxed cell (GGA-PBE, Alexandria)
Kinematic intensities with the Lorentz-polarization factor, no thermal factor.

a b c (Å): 6.734 8.465 9.220
angles (deg): 65.69 72.18 77.36
Fractional coordinates of all 14 atoms:
La 0.000 0.000 0.000
La 0.283 0.147 0.570
Dy 0.045 0.190 0.262
Dy 0.621 0.479 0.407
Dy 0.900 0.617 0.977
Ho 0.143 0.571 0.287
Ho 0.188 0.760 0.549
Ho 0.336 0.336 0.835
Ho 0.429 0.710 0.859
Ho 0.476 0.903 0.122
Ho 0.568 0.288 0.144
Ho 0.714 0.855 0.431
Ho 0.758 0.044 0.691
Ho 0.852 0.431 0.716

Top 10 peaks for 10 to 80 degrees two-theta, by intensity:
| two_theta | I (rel.) |
| --- | --- |
| 32.6 | 100.0 |
| 31.5 | 24.1 |
| 28.4 | 23.8 |
| 56.8 | 20.5 |
| 60.5 | 15.1 |
| 50.2 | 13.2 |
| 61.1 | 10.9 |
| 42.9 | 10.3 |
| 60.6 | 7.5 |
| 50.3 | 6.6 |

***

Simulated X-ray diffraction stick pattern
Compound: Ti2V2S7
Radiation: Cu Kα, 1.54184 Å
Structure: a DFT-relaxed cell (GGA-PBE, Alexandria)
Kinematic intensities with the Lorentz-polarization factor, no thermal factor.

a b c (Å): 6.327 6.327 6.324
angles (deg): 92.72 92.72 111.56
Fractional coordinates of all 11 atoms:
Ti 0.155 0.845 0.000
Ti 0.845 0.155 0.000
V 0.230 0.230 0.627
V 0.770 0.770 0.373
S 0.091 0.462 0.802
S 0.099 0.099 0.266
S 0.462 0.091 0.802
S 0.500 0.500 0.500
S 0.538 0.909 0.198
S 0.901 0.901 0.734
S 0.909 0.538 0.198

Top 10 peaks for 10 to 80 degrees two-theta, by intensity:
| two_theta | I (rel.) |
| --- | --- |
| 22.1 | 100.0 |
| 21.4 | 81.5 |
| 41.4 | 71.5 |
| 40.5 | 56.2 |
| 15.1 | 50.5 |
| 27.8 | 26.2 |
| 32.4 | 25.7 |
| 37.2 | 25.3 |
| 36.5 | 24.6 |
| 52.5 | 24.1 |

***

Simulated X-ray diffraction stick pattern
Compound: UGa5Pt
Radiation: Cu Kα, 1.54184 Å
Structure: a DFT-relaxed cell (GGA-PBE, Alexandria)
Kinematic intensities with the Lorentz-polarization factor, no thermal factor.

a b c (Å): 4.350 4.350 6.873
angles (deg): 90.00 90.00 90.00
Fractional coordinates of all 7 atoms:
U 0.000 0.000 0.000
Ga 0.000 0.500 0.294
Ga 0.000 0.500 0.706
Ga 0.500 0.000 0.294
Ga 0.500 0.000 0.706
Ga 0.500 0.500 0.000
Pt 0.000 0.000 0.500

Top 10 peaks for 10 to 80 degrees two-theta, by intensity:
| two_theta | I (rel.) |
| --- | --- |
| 39.3 | 100.0 |
| 20.4 | 53.0 |
| 41.5 | 45.8 |
| 74.3 | 32.4 |
| 33.2 | 32.3 |
| 54.2 | 16.8 |
| 60.2 | 15.3 |
| 69.7 | 15.0 |
| 46.7 | 12.9 |
| 31.9 | 10.9 |

***

Simulated X-ray diffraction stick pattern
Compound: CsAc2SiO5
Radiation: Cu Kα, 1.54184 Å
Structure: a DFT-relaxed cell (GGA-PBE, Alexandria)
Kinematic intensities with the Lorentz-polarization factor, no thermal factor.

a b c (Å): 7.334 7.334 5.687
angles (deg): 90.00 90.00 90.00
Fractional coordinates of all 18 atoms:
Cs 0.000 0.000 0.000
Cs 0.500 0.500 0.000
Ac 0.184 0.316 0.500
Ac 0.316 0.816 0.500
Ac 0.684 0.184 0.500
Ac 0.816 0.684 0.500
Si 0.000 0.500 0.000
Si 0.500 0.000 0.000
O 0.000 0.000 0.500
O 0.117 0.617 0.227
O 0.117 0.617 0.773
O 0.383 0.117 0.227
O 0.383 0.117 0.773
O 0.500 0.500 0.500
O 0.617 0.883 0.227
O 0.617 0.883 0.773
O 0.883 0.383 0.227
O 0.883 0.383 0.773

Top 10 peaks for 10 to 80 degrees two-theta, by intensity:
| two_theta | I (rel.) |
| --- | --- |
| 31.5 | 100.0 |
| 29.0 | 93.6 |
| 42.1 | 42.5 |
| 15.6 | 41.1 |
| 27.2 | 34.4 |
| 54.0 | 28.2 |
| 34.6 | 21.7 |
| 38.8 | 21.5 |
| 47.5 | 20.1 |
| 51.4 | 19.9 |